Simulated powder diffraction line list
Compound: Ag5Hg2
Radiation: Cu Kα
Structure: a structure optimized by DFT (GGA-PBE)
Peak positions follow from Bragg's law for the DFT cell and can differ from measured ones.

Largest 10 diffraction maxima, most intense first, 10° ≤ 2θ ≤ 90°:
2θ/deg	Rel. int.	index
39.08	1000	1 1 3
36.34	790	0 2 -2
38.71	518	-1 2 1
39.16	510	1 0 -3
39.63	425	2 0 1
40.02	420	2 2 -1
35.25	276	2 1 0
34.42	206	1 2 2
34.26	196	-1 1 2
67.30	182	1 -1 5

Crystal structure
Unit cell a=5.092 b=7.194 c=7.805 alpha=86.48 beta=89.81 gamma=69.95
Space group P-1 (No. 2)
Symmetry-distinct sites (fractional):
1 Ag 0.024 0.293 0.035 (multiplicity 2)
2 Ag 0.110 0.429 0.683 (multiplicity 2)
3 Ag 0.169 0.000 0.750 (multiplicity 2)
4 Ag 0.317 0.707 0.465 (multiplicity 2)
5 Ag 0.460 0.429 0.182 (multiplicity 2)
6 Hg 0.249 0.154 0.395 (multiplicity 2)
7 Hg 0.404 0.846 0.106 (multiplicity 2)

***

Simulated powder diffraction line list
Compound: BeHPb
Radiation: Cu Kα
Structure: a structure optimized by DFT (GGA-PBE)
Peak positions follow from Bragg's law for the DFT cell and can differ from measured ones.

Largest 10 diffraction maxima, most intense first, 10° ≤ 2θ ≤ 90°:
2θ/deg	Rel. int.	index
17.19	1000	0 1 0
28.35	688	1 0 -1
29.14	321	1 1 1
32.93	238	1 1 -1
33.73	218	-1 1 1
34.99	216	0 1 2
33.95	198	0 0 2
34.78	193	0 2 0
38.95	159	1 2 1
37.16	150	1 -1 1

Crystal structure
Unit cell a=3.987 b=5.352 c=5.390 alpha=78.46 beta=87.97 gamma=79.49
Space group P-1 (No. 2)
Symmetry-distinct sites (fractional):
1 Be 0.247 0.061 0.496 (multiplicity 2)
2 H 0.498 0.989 0.702 (multiplicity 2)
3 Pb 0.234 0.530 0.729 (multiplicity 2)

***

Simulated powder diffraction line list
Compound: Pm2ZnPt7
Radiation: Cu Kα
Structure: a structure optimized by DFT (GGA-PBE)
Peak positions follow from Bragg's law for the DFT cell and can differ from measured ones.

Largest 10 diffraction maxima, most intense first, 10° ≤ 2θ ≤ 90°:
2θ/deg	Rel. int.	index
35.28	1000	1 1 2
46.21	514	2 0 0
42.48	489	1 0 5
43.34	426	1 1 4
31.10	329	1 0 3
64.56	286	2 1 5
23.71	237	1 0 1
78.44	202	3 1 2
84.03	168	1 1 10
67.41	168	2 2 0

Crystal structure
Unit cell a=3.929 b=3.929 c=12.657 alpha=90.00 beta=90.00 gamma=90.00
Space group P-4m2 (No. 115)
Symmetry-distinct sites (fractional):
1 Pm 0.000 0.500 0.239 (multiplicity 2)
2 Zn 0.000 0.000 0.500 (multiplicity 1)
3 Pt 0.000 0.000 0.000 (multiplicity 1)
4 Pt 0.000 0.500 0.645 (multiplicity 2)
5 Pt 0.000 0.500 0.848 (multiplicity 2)
6 Pt 0.500 0.500 0.000 (multiplicity 1)
7 Pt 0.500 0.500 0.500 (multiplicity 1)

***

Simulated powder diffraction line list
Compound: LaUB12
Radiation: Cu Kα
Structure: a structure optimized by DFT (GGA-PBE)
Peak positions follow from Bragg's law for the DFT cell and can differ from measured ones.

Largest 10 diffraction maxima, most intense first, 10° ≤ 2θ ≤ 90°:
2θ/deg	Rel. int.	index
30.74	1000	1 1 0
21.61	740	1 0 0
49.56	513	2 1 0
37.89	419	1 1 2
54.66	304	2 1 2
44.04	212	2 0 0
89.07	201	3 2 2
68.42	179	2 1 4
72.74	135	3 1 0
64.03	109	2 2 0

Crystal structure
Unit cell a=4.111 b=4.111 c=8.234 alpha=90.00 beta=90.00 gamma=90.00
Space group P4/mmm (No. 123)
Symmetry-distinct sites (fractional):
1 La 0.000 0.000 0.000 (multiplicity 1)
2 U 0.000 0.000 0.500 (multiplicity 1)
3 B 0.198 0.500 0.253 (multiplicity 8)
4 B 0.500 0.500 0.101 (multiplicity 2)
5 B 0.500 0.500 0.402 (multiplicity 2)

***

Simulated powder diffraction line list
Compound: TmRe3B3
Radiation: Cu Kα
Structure: a structure optimized by DFT (GGA-PBE)
Peak positions follow from Bragg's law for the DFT cell and can differ from measured ones.

Largest 10 diffraction maxima, most intense first, 10° ≤ 2θ ≤ 90°:
2θ/deg	Rel. int.	index
39.01	1000	2 0 1
36.73	652	1 1 1
25.49	543	2 0 0
46.88	460	1 3 0
45.25	347	1 2 1
33.94	338	2 1 0
65.67	327	3 2 1
38.65	282	3 0 0
74.58	205	5 0 1
79.55	200	1 3 2

Crystal structure
Unit cell a=8.0693 b=8.0693 c=3.0768 alpha=90.00 beta=90.00 gamma=120.00
Space group P6_3/m (No. 176)
Symmetry-distinct sites (fractional):
1 Tm 0.3333 0.6667 0.2500 (multiplicity 2)
2 Re 0.0708 0.3079 0.7500 (multiplicity 6)
3 B 0.0413 0.5706 0.7500 (multiplicity 6)

***

Simulated powder diffraction line list
Compound: CaCu2Au8
Radiation: Cu Kα
Structure: a structure optimized by DFT (GGA-PBE)
Peak positions follow from Bragg's law for the DFT cell and can differ from measured ones.

Largest 10 diffraction maxima, most intense first, 10° ≤ 2θ ≤ 90°:
2θ/deg	Rel. int.	index
39.12	1000	2 0 2
21.61	663	0 0 2
32.21	634	2 0 0
10.75	388	0 0 1
46.19	374	2 2 0
51.54	278	2 2 2
46.52	271	2 0 3
80.77	250	4 2 2
65.98	149	2 0 5
75.34	132	2 2 5

Crystal structure
Unit cell a=5.559 b=5.559 c=8.226 alpha=90.00 beta=90.00 gamma=90.00
Space group P4/mmm (No. 123)
Symmetry-distinct sites (fractional):
1 Ca 0.000 0.000 0.000 (multiplicity 1)
2 Cu 0.000 0.500 0.500 (multiplicity 2)
3 Au 0.252 0.252 0.285 (multiplicity 8)

***

Simulated powder diffraction line list
Compound: CeDyRh
Radiation: Cu Kα
Structure: a structure optimized by DFT (GGA-PBE)
Peak positions follow from Bragg's law for the DFT cell and can differ from measured ones.

Largest 10 diffraction maxima, most intense first, 10° ≤ 2θ ≤ 90°:
2θ/deg	Rel. int.	index
33.89	1000	1 0 3
36.29	530	1 1 0
63.75	318	2 1 3
52.25	186	2 0 0
45.54	176	1 0 5
26.50	120	1 0 1
73.30	103	1 1 8
47.44	101	1 1 4
61.19	92	0 0 8
29.50	91	0 0 4

Crystal structure
Unit cell a=3.501 b=3.501 c=12.110 alpha=90.00 beta=90.00 gamma=90.00
Space group I4mm (No. 107)
Symmetry-distinct sites (fractional):
1 Ce 0.000 0.000 0.000 (multiplicity 2)
2 Dy 0.000 0.000 0.273 (multiplicity 2)
3 Rh 0.000 0.000 0.635 (multiplicity 2)

***

Simulated powder diffraction line list
Compound: SmTc4Ge12
Radiation: Cu Kα
Structure: a structure optimized by DFT (GGA-PBE)
Peak positions follow from Bragg's law for the DFT cell and can differ from measured ones.

Largest 10 diffraction maxima, most intense first, 10° ≤ 2θ ≤ 90°:
2θ/deg	Rel. int.	index
32.16	1000	3 0 1
38.26	544	3 1 2
50.82	518	4 2 2
53.05	299	4 3 1
46.12	284	4 2 0
28.69	274	2 2 0
72.89	171	6 1 3
67.28	131	6 0 2
61.42	114	5 3 0
20.18	113	2 0 0

Crystal structure
Unit cell a=8.802 b=8.802 c=8.802 alpha=90.00 beta=90.00 gamma=90.00
Space group Im-3 (No. 204)
Symmetry-distinct sites (fractional):
1 Sm 0.000 0.000 0.000 (multiplicity 2)
2 Tc 0.250 0.250 0.250 (multiplicity 8)
3 Ge 0.000 0.339 0.158 (multiplicity 24)

***

Simulated powder diffraction line list
Compound: Zr6Pt7
Radiation: Cu Kα
Structure: a structure optimized by DFT (GGA-PBE)
Peak positions follow from Bragg's law for the DFT cell and can differ from measured ones.

Largest 10 diffraction maxima, most intense first, 10° ≤ 2θ ≤ 90°:
2θ/deg	Rel. int.	index
38.34	1000	1 1 6
41.80	841	2 0 5
38.76	594	0 2 1
44.68	553	0 2 7
18.48	521	0 0 6
37.45	512	0 0 12
19.29	403	1 0 1
69.90	400	2 2 0
39.46	398	0 1 11
82.10	327	2 2 12

Crystal structure
Unit cell a=5.3829 b=5.3829 c=28.8136 alpha=90.00 beta=90.00 gamma=120.00
Space group R-3m (No. 166, hexagonal axes)
Symmetry-distinct sites (fractional):
1 Zr 0.0000 0.0000 0.0501 (multiplicity 6)
2 Zr 0.0000 0.0000 0.1603 (multiplicity 6)
3 Zr 0.0000 0.0000 0.3336 (multiplicity 6)
4 Pt 0.0000 0.0000 0.5000 (multiplicity 3)
5 Pt 0.0017 0.5008 0.0873 (multiplicity 18)

***

Simulated powder diffraction line list
Compound: NiHgBPC
Radiation: Cu Kα
Structure: a structure optimized by DFT (GGA-PBE)
Peak positions follow from Bragg's law for the DFT cell and can differ from measured ones.

Largest 10 diffraction maxima, most intense first, 10° ≤ 2θ ≤ 90°:
2θ/deg	Rel. int.	index
34.34	1000	0 1 1
11.23	900	0 0 1
32.34	581	1 0 0
39.80	576	1 0 2
47.74	382	0 1 3
34.14	341	0 0 3
57.42	264	0 1 4
68.76	259	1 1 3
57.68	231	1 1 0
22.57	216	0 0 2

Crystal structure
Unit cell a=3.1962 b=3.1962 c=7.8783 alpha=90.00 beta=90.00 gamma=120.00
Space group P3m1 (No. 156)
Symmetry-distinct sites (fractional):
1 Ni 0.0000 0.0000 0.0000 (multiplicity 1)
2 Hg 0.6667 0.3333 0.6607 (multiplicity 1)
3 B 0.0000 0.0000 0.2678 (multiplicity 1)
4 P 0.6667 0.3333 0.3334 (multiplicity 1)
5 C 0.6667 0.3333 0.9488 (multiplicity 1)

***

Simulated powder diffraction line list
Compound: K3H6Os
Radiation: Cu Kα
Structure: a structure optimized by DFT (GGA-PBE)
Peak positions follow from Bragg's law for the DFT cell and can differ from measured ones.

Largest 10 diffraction maxima, most intense first, 10° ≤ 2θ ≤ 90°:
2θ/deg	Rel. int.	index
30.02	1000	2 2 0
18.25	497	1 1 1
53.30	375	4 2 2
35.36	288	3 1 1
21.10	272	2 0 0
42.97	191	4 0 0
86.50	187	6 4 2
70.77	158	6 2 0
47.05	131	3 3 1
48.34	128	4 2 0

Crystal structure
Unit cell a=8.420 b=8.420 c=8.420 alpha=90.00 beta=90.00 gamma=90.00
Space group Fm-3m (No. 225)
Symmetry-distinct sites (fractional):
1 K 0.000 0.000 0.000 (multiplicity 4)
2 K 0.250 0.250 0.250 (multiplicity 8)
3 H 0.000 0.000 0.295 (multiplicity 24)
4 Os 0.000 0.000 0.500 (multiplicity 4)

***

Simulated powder diffraction line list
Compound: AlAs2OsS
Radiation: Cu Kα
Structure: a structure optimized by DFT (GGA-PBE)
Peak positions follow from Bragg's law for the DFT cell and can differ from measured ones.

Largest 10 diffraction maxima, most intense first, 10° ≤ 2θ ≤ 90°:
2θ/deg	Rel. int.	index
33.19	1000	1 1 1
18.10	735	1 0 0
36.67	547	2 0 0
63.82	307	3 1 1
56.95	302	2 0 2
27.58	219	1 0 1
52.83	189	2 2 0
41.99	186	0 0 2
41.18	181	2 1 0
69.66	165	2 2 2

Crystal structure
Unit cell a=4.902 b=4.902 c=4.304 alpha=90.00 beta=90.00 gamma=90.00
Space group P4/mmm (No. 123)
Symmetry-distinct sites (fractional):
1 Al 0.000 0.000 0.000 (multiplicity 1)
2 As 0.000 0.500 0.500 (multiplicity 2)
3 Os 0.500 0.500 0.000 (multiplicity 1)
4 S 0.500 0.500 0.500 (multiplicity 1)

***

Please write out number 4 again, unchanged.
Simulated powder diffraction line list
Compound: LaUB12
Radiation: Cu Kα
Structure: a structure optimized by DFT (GGA-PBE)
Peak positions follow from Bragg's law for the DFT cell and can differ from measured ones.

Largest 10 diffraction maxima, most intense first, 10° ≤ 2θ ≤ 90°:
2θ/deg	Rel. int.	index
30.74	1000	1 1 0
21.61	740	1 0 0
49.56	513	2 1 0
37.89	419	1 1 2
54.66	304	2 1 2
44.04	212	2 0 0
89.07	201	3 2 2
68.42	179	2 1 4
72.74	135	3 1 0
64.03	109	2 2 0

Crystal structure
Unit cell a=4.111 b=4.111 c=8.234 alpha=90.00 beta=90.00 gamma=90.00
Space group P4/mmm (No. 123)
Symmetry-distinct sites (fractional):
1 La 0.000 0.000 0.000 (multiplicity 1)
2 U 0.000 0.000 0.500 (multiplicity 1)
3 B 0.198 0.500 0.253 (multiplicity 8)
4 B 0.500 0.500 0.101 (multiplicity 2)
5 B 0.500 0.500 0.402 (multiplicity 2)